Entry 1:
PmWO3: calculated X-ray powder pattern (Cu Kα, 1.54184 Å), based on a PBE+U-relaxed structure.
Neutral-atom scattering factors, no anomalous dispersion.

Atomic structure:
abc: 4.1273 4.1273 4.1273
angles: 90.00 90.00 90.00
Element x y z (fractional)
Pm 0.0000 0.0000 0.0000
W 0.5000 0.5000 0.5000
O 0.0000 0.5000 0.5000
O 0.5000 0.0000 0.5000
O 0.5000 0.5000 0.0000

Main lines, most intense first (10° ≤ 2θ ≤ 90°):
| d (Å) | I/Imax |
| --- | --- |
| 2.918 | 1000 |
| 1.685 | 410 |
| 2.064 | 273 |
| 1.103 | 220 |
| 1.305 | 178 |
| 1.459 | 173 |
| 1.191 | 58 |
| 4.127 | 33 |
| 1.846 | 14 |
| 1.376 | 6 |

Entry 2:
MgFe10O16: calculated X-ray powder pattern (Cu Kα, 1.54184 Å), based on a PBE+U-relaxed structure.
Neutral-atom scattering factors, no anomalous dispersion.

Atomic structure:
abc: 10.2139 10.2139 10.2139
angles: 33.98 33.98 33.98
Element x y z (fractional)
Mg 0.0000 0.0000 0.0000
Fe 0.0516 0.0516 0.5648
Fe 0.0516 0.5648 0.0516
Fe 0.0593 0.5613 0.5613
Fe 0.1163 0.1163 0.1163
Fe 0.3118 0.3118 0.3118
Fe 0.4967 0.4967 0.4967
Fe 0.5613 0.0593 0.5613
Fe 0.5613 0.5613 0.0593
Fe 0.5648 0.0516 0.0516
Fe 0.6217 0.6217 0.6217
O 0.1860 0.1860 0.1860
O 0.1910 0.6885 0.6885
O 0.2055 0.2055 0.6553
O 0.2055 0.6553 0.2055
O 0.4223 0.4223 0.9580
O 0.4223 0.9580 0.4223
O 0.4296 0.4296 0.4296
O 0.4372 0.9210 0.9210
O 0.6553 0.2055 0.2055
O 0.6885 0.1910 0.6885
O 0.6885 0.6885 0.1910
O 0.6884 0.6884 0.6884
O 0.9210 0.4372 0.9210
O 0.9210 0.9210 0.4372
O 0.9297 0.9297 0.9297
O 0.9580 0.4223 0.4223

Main lines, most intense first (10° ≤ 2θ ≤ 90°):
| d (Å) | I/Imax |
| --- | --- |
| 2.535 | 1000 |
| 2.544 | 961 |
| 1.492 | 606 |
| 2.101 | 591 |
| 2.957 | 555 |
| 1.479 | 528 |
| 2.519 | 511 |
| 4.808 | 405 |
| 1.617 | 344 |
| 1.611 | 282 |

Entry 3:
Rb2NaFeF6: calculated X-ray powder pattern (Cu Kα, 1.54184 Å), based on a PBE+U-relaxed structure.
Neutral-atom scattering factors, no anomalous dispersion.

Atomic structure:
abc: 6.0919 6.0919 6.0919
angles: 60.00 60.00 60.00
Element x y z (fractional)
Rb 0.2500 0.2500 0.2500
Rb 0.7500 0.7500 0.7500
Na 0.0000 0.0000 0.0000
Fe 0.5000 0.5000 0.5000
F 0.2713 0.2713 0.7287
F 0.2713 0.7287 0.2713
F 0.2713 0.7287 0.7287
F 0.7287 0.2713 0.2713
F 0.7287 0.2713 0.7287
F 0.7287 0.7287 0.2713

Main lines, most intense first (10° ≤ 2θ ≤ 90°):
| d (Å) | I/Imax |
| --- | --- |
| 3.046 | 1000 |
| 2.154 | 511 |
| 1.759 | 379 |
| 2.487 | 325 |
| 1.523 | 295 |
| 1.151 | 208 |
| 1.362 | 184 |
| 4.974 | 129 |
| 1.299 | 91 |
| 1.244 | 90 |